Computed PXRD pattern of Np4CdGa12 for Cu Ka, from a DFT-relaxed cell (GGA-PBE, Alexandria).

Crystal structure
```
data_Np4CdGa12
_cell_length_a 8.7286
_cell_length_b 8.7286
_cell_length_c 8.7286
_cell_angle_alpha 90.00
_cell_angle_beta 90.00
_cell_angle_gamma 90.00
_symmetry_space_group_name_H-M 'I m -3 m'
_symmetry_Int_Tables_number 229
_symmetry_space_group_name_Hall '-I 4 2 3'
loop_
_atom_site_label
_atom_site_type_symbol
_atom_site_fract_x
_atom_site_fract_y
_atom_site_fract_z
Np1 Np 0.2500 0.2500 0.2500
Cd1 Cd 0.0000 0.0000 0.0000
Ga1 Ga 0.0000 0.0000 0.3091
Ga2 Ga 0.0000 0.2500 0.5000
```

The 10 most intense peaks (2θ from 10° to 80°), sorted by position:
2θ = 20.35°, 4.364 Å, I 26, hkl 2 0 0
2θ = 28.93°, 3.086 Å, I 70, hkl 2 2 0
2θ = 35.63°, 2.520 Å, I 100, hkl 2 2 2
2θ = 41.38°, 2.182 Å, I 64, hkl 4 0 0
2θ = 46.53°, 1.952 Å, I 22, hkl 4 2 0
2θ = 51.28°, 1.782 Å, I 21, hkl 4 2 2
2θ = 59.95°, 1.543 Å, I 37, hkl 4 4 0
2θ = 64.00°, 1.455 Å, I 14, hkl 4 4 2
2θ = 67.92°, 1.380 Å, I 20, hkl 6 2 0
2θ = 71.73°, 1.316 Å, I 30, hkl 6 2 2